CdH3Rh: computed powder diffraction line list (CuKα), based on a PBE-relaxed structure.
Intensities are scaled so that the largest is 100.

Peak list (6 most intense, 10° ≤ 2θ ≤ 90°, by angle)
(hkl)	2theta	d_spacing	intensity
0 0 4	10.73	8.243	100.0
1 0 5	34.30	2.615	25.6
1 0 7	36.88	2.437	45.4
1 0 9	40.10	2.249	35.8
0 0 16	43.89	2.063	25.8
1 1 2	45.37	1.999	32.6

Crystal structure
abc: 2.848 2.848 32.972
angles: 90.00 90.00 90.00
Space group I-4m2 (No. 119)
Symmetry-distinct sites (fractional):
Cd  0.000  0.000  0.000
Cd  0.000  0.500  0.250
H  0.000  0.000  0.341
H  0.000  0.368  0.088
Rh  0.000  0.500  0.688

CdH3Rh: computed powder diffraction line list (CuKα), based on a PBE-relaxed structure.
Intensities are scaled so that the largest is 100.

Peak list (6 most intense, 10° ≤ 2θ ≤ 90°, by angle)
(hkl)	2theta	d_spacing	intensity
0 0 1	13.35	6.632	61.5
0 0 2	26.89	3.316	30.2
1 1 -1	34.17	2.624	44.2
0 2 0	38.07	2.364	28.1
1 1 1	39.34	2.290	100.0
0 0 3	40.82	2.211	20.7

Crystal structure
abc: 3.248 4.728 6.826
angles: 90.00 103.68 90.00
Space group P2_1/m (No. 11)
Symmetry-distinct sites (fractional):
Cd  0.086  0.250  0.173
H  0.139  0.750  0.279
H  0.311  0.047  0.619
Rh  0.406  0.250  0.811

Cd2SbH: computed powder diffraction line list (CuKα), based on a PBE-relaxed structure.
Intensities are scaled so that the largest is 100.

Peak list (6 most intense, 10° ≤ 2θ ≤ 90°, by angle)
(hkl)	2theta	d_spacing	intensity
0 0 1	28.05	3.181	88.6
0 2 0	30.41	2.940	73.2
3 1 0	32.26	2.775	100.0
0 2 1	41.84	2.159	59.5
3 1 -1	43.01	2.103	44.1
3 1 1	43.51	2.080	43.2

Crystal structure
abc: 9.445 5.879 3.181
angles: 90.00 90.73 90.00
Space group Cm (No. 8)
Symmetry-distinct sites (fractional):
Cd  0.000  0.000  0.000
Cd  0.199  0.500  0.001
Sb  0.306  0.000  0.004
H  0.092  0.500  0.497

CdSb2H2: computed powder diffraction line list (CuKα), based on a PBE-relaxed structure.
Intensities are scaled so that the largest is 100.

Peak list (6 most intense, 10° ≤ 2θ ≤ 90°, by angle)
(hkl)	2theta	d_spacing	intensity
0 0 3	25.83	3.449	100.0
0 1 0	30.54	2.927	79.6
1 0 0	31.75	2.818	71.9
1 1 0	32.27	2.774	68.8
0 1 3	40.03	2.252	30.6
1 0 3	41.46	2.178	55.5

Crystal structure
abc: 3.183 3.306 10.350
angles: 88.91 89.65 62.31
Space group P-1 (No. 2)
Symmetry-distinct sites (fractional):
Cd  0.000  0.000  0.000
Sb  0.000  0.005  0.362
H  0.334  0.334  0.907

SrCdSbH: computed powder diffraction line list (CuKα), based on a PBE-relaxed structure.
Intensities are scaled so that the largest is 100.

Peak list (6 most intense, 10° ≤ 2θ ≤ 90°, by angle)
(hkl)	2theta	d_spacing	intensity
0 0 6	16.38	5.412	27.5
1 0 1	22.04	4.033	29.8
0 1 5	25.86	3.446	54.7
0 1 8	31.14	2.872	100.0
1 1 0	38.36	2.347	92.5
2 0 8	50.21	1.817	30.6

Crystal structure
abc: 4.6934 4.6934 32.4747
angles: 90.00 90.00 120.00
Space group R-3m (No. 166, hexagonal axes)
Symmetry-distinct sites (fractional):
Sr  0.0000  0.0000  0.0000
Sr  0.0000  0.0000  0.5000
Cd  0.0000  0.0000  0.2425
Sb  0.0000  0.0000  0.3958
H  0.0000  0.0000  0.1832

Cd4H3Se4: computed powder diffraction line list (CuKα), based on a PBE-relaxed structure.
Intensities are scaled so that the largest is 100.

Peak list (6 most intense, 10° ≤ 2θ ≤ 90°, by angle)
(hkl)	2theta	d_spacing	intensity
2 0 2	28.07	3.179	74.1
1 1 -3	28.54	3.128	87.5
1 1 -4	31.78	2.815	100.0
3 1 -1	41.83	2.160	43.5
1 1 6	43.72	2.071	61.0
0 2 0	43.88	2.063	44.2

Crystal structure
abc: 7.606 4.127 16.388
angles: 90.00 100.46 90.00
Space group Cm (No. 8)
Symmetry-distinct sites (fractional):
Cd  0.000  0.000  0.000
Cd  0.004  0.000  0.835
Cd  0.058  0.500  0.419
Cd  0.242  0.500  0.193
H  0.087  0.500  0.669
H  0.225  0.000  0.556
H  0.490  0.500  0.269
Se  0.027  0.000  0.532
Se  0.147  0.500  0.762
Se  0.193  0.000  0.319
Se  0.405  0.000  0.102

Repeat the fifth record exactly.
SrCdSbH: computed powder diffraction line list (CuKα), based on a PBE-relaxed structure.
Intensities are scaled so that the largest is 100.

Peak list (6 most intense, 10° ≤ 2θ ≤ 90°, by angle)
(hkl)	2theta	d_spacing	intensity
0 0 6	16.38	5.412	27.5
1 0 1	22.04	4.033	29.8
0 1 5	25.86	3.446	54.7
0 1 8	31.14	2.872	100.0
1 1 0	38.36	2.347	92.5
2 0 8	50.21	1.817	30.6

Crystal structure
abc: 4.6934 4.6934 32.4747
angles: 90.00 90.00 120.00
Space group R-3m (No. 166, hexagonal axes)
Symmetry-distinct sites (fractional):
Sr  0.0000  0.0000  0.0000
Sr  0.0000  0.0000  0.5000
Cd  0.0000  0.0000  0.2425
Sb  0.0000  0.0000  0.3958
H  0.0000  0.0000  0.1832

What is the formula in the fifth record? SrCdSbH

Which formula does entry 2 have? CdH3Rh

What is the formula in the second record? CdH3Rh